[1]
The following is a computed powder diffraction line list of HgRhPb2Cl. It was derived from a cell relaxed with GGA-PBE, using λ = 1.5418 Å (Cu Kα).
Kinematic intensities with the Lorentz-polarization factor, no thermal factor.

Main lines, low angle first (5° ≤ 2θ ≤ 70°):
2theta, d [Å], I (rel.)
16.92, 5.241, 45.9
29.41, 3.037, 100.0
33.82, 2.650, 33.9
34.22, 2.620, 65.7
38.36, 2.347, 26.0
48.88, 1.863, 48.5
58.34, 1.582, 30.1
61.01, 1.519, 25.1

Cell and atoms:
```
data_HgRhPb2Cl
_chemical_formula_sum 'Hg1 Rh1 Pb2 Cl1'
_cell_length_a 5.241
_cell_length_b 5.241
_cell_length_c 5.301
_cell_angle_alpha 90.00
_cell_angle_beta 90.00
_cell_angle_gamma 90.00
_symmetry_space_group_name_H-M 'P 4/m m m'
_symmetry_Int_Tables_number 123
_symmetry_space_group_name_Hall '-P 4 2'
loop_
_atom_site_label
_atom_site_type_symbol
_atom_site_fract_x
_atom_site_fract_y
_atom_site_fract_z
Hg1 Hg 0.000 0.000 0.000
Rh1 Rh 0.000 0.000 0.500
Pb1 Pb 0.000 0.500 0.500
Cl1 Cl 0.500 0.500 0.000
```

[2]
The following is a computed powder diffraction line list of ScHgPbCl6. It was derived from a cell relaxed with GGA-PBE, using λ = 1.5418 Å (Cu Kα).
Kinematic intensities with the Lorentz-polarization factor, no thermal factor.

Main lines, low angle first (5° ≤ 2θ ≤ 70°):
2theta, d [Å], I (rel.)
20.13, 4.411, 100.0
25.13, 3.543, 28.4
32.41, 2.762, 31.0
38.08, 2.363, 48.4
41.45, 2.178, 34.1
44.28, 2.046, 19.8
45.36, 1.999, 12.4
55.93, 1.644, 14.0

Cell and atoms:
```
data_ScHgPbCl6
_chemical_formula_sum 'Sc1 Hg1 Pb1 Cl6'
_cell_length_a 7.0862
_cell_length_b 7.0862
_cell_length_c 6.3439
_cell_angle_alpha 90.00
_cell_angle_beta 90.00
_cell_angle_gamma 120.00
_symmetry_space_group_name_H-M 'P 3'
_symmetry_Int_Tables_number 143
_symmetry_space_group_name_Hall 'P 3'
loop_
_atom_site_label
_atom_site_type_symbol
_atom_site_fract_x
_atom_site_fract_y
_atom_site_fract_z
Sc1 Sc 0.0000 0.0000 0.0000
Hg1 Hg 0.6667 0.3333 0.5008
Pb1 Pb 0.3333 0.6667 0.0006
Cl1 Cl 0.0048 0.7123 0.2294
Cl2 Cl 0.0060 0.2929 0.7705
```

[3]
The following is a computed powder diffraction line list of SrHgPb2Cl8. It was derived from a cell relaxed with GGA-PBE, using λ = 1.5418 Å (Cu Kα).
Kinematic intensities with the Lorentz-polarization factor, no thermal factor.

Main lines, low angle first (5° ≤ 2θ ≤ 70°):
2theta, d [Å], I (rel.)
18.67, 4.753, 100.0
23.96, 3.715, 16.4
24.15, 3.686, 24.4
24.94, 3.570, 20.9
35.87, 2.504, 23.7
36.27, 2.477, 23.0
36.89, 2.436, 20.8
37.86, 2.377, 22.0

Cell and atoms:
```
data_SrHgPb2Cl8
_chemical_formula_sum 'Sr1 Hg1 Pb2 Cl8'
_cell_length_a 6.612
_cell_length_b 6.844
_cell_length_c 8.686
_cell_angle_alpha 91.72
_cell_angle_beta 91.99
_cell_angle_gamma 90.08
_symmetry_space_group_name_H-M 'P -1'
_symmetry_Int_Tables_number 2
_symmetry_space_group_name_Hall '-P 1'
loop_
_atom_site_label
_atom_site_type_symbol
_atom_site_fract_x
_atom_site_fract_y
_atom_site_fract_z
Sr1 Sr 0.000 0.000 0.000
Hg1 Hg 0.000 0.000 0.500
Pb1 Pb 0.494 0.494 0.258
Cl1 Cl 0.203 0.143 0.724
Cl2 Cl 0.249 0.163 0.255
Cl3 Cl 0.258 0.664 0.499
Cl4 Cl 0.265 0.662 0.996
```